No. 1
Structure and computed powder X-ray diffraction pattern of Cd3In6Ag2 (a GGA-PBE-relaxed structure; copper Kα).

Largest 10 diffraction maxima, low angle first, 2θ from 10° to 90°:
| 2θ/deg | I (rel.) |
| --- | --- |
| 32.67 | 1000 |
| 38.47 | 189 |
| 39.70 | 557 |
| 53.29 | 242 |
| 61.32 | 124 |
| 63.93 | 135 |
| 67.63 | 203 |
| 68.46 | 105 |
| 74.76 | 60 |
| 87.87 | 114 |

Structure:
a = 3.4379 Å, b = 3.4379 Å, c = 77.2155 Å
α = 90.00°, β = 90.00°, γ = 120.00°
Space group R-3m (No. 166, hexagonal axes)
Symmetry-distinct sites (fractional):
Cd 0.0000 0.0000 0.0000 [3 per cell]
Cd 0.0000 0.0000 0.2709 [6 per cell]
In 0.0000 0.0000 0.0940 [6 per cell]
In 0.0000 0.0000 0.1829 [6 per cell]
In 0.0000 0.0000 0.3644 [6 per cell]
Ag 0.0000 0.0000 0.4557 [6 per cell]



No. 2
Structure and computed powder X-ray diffraction pattern of Cd2In2Ag5 (a GGA-PBE-relaxed structure; copper Kα).

Largest 10 diffraction maxima, low angle first, 2θ from 10° to 90°:
| 2θ/deg | I (rel.) |
| --- | --- |
| 35.65 | 1000 |
| 35.90 | 983 |
| 36.57 | 907 |
| 37.32 | 873 |
| 39.99 | 721 |
| 40.14 | 712 |
| 46.34 | 444 |
| 56.30 | 257 |
| 59.57 | 200 |
| 69.51 | 260 |

Structure:
a = 3.268 Å, b = 6.314 Å, c = 9.313 Å
α = 105.28°, β = 90.22°, γ = 104.57°
Space group P-1 (No. 2)
Symmetry-distinct sites (fractional):
Cd 0.010 0.019 0.170 [2 per cell]
In 0.323 0.648 0.280 [2 per cell]
Ag 0.000 0.000 0.500 [1 per cell]
Ag 0.336 0.670 0.956 [2 per cell]
Ag 0.336 0.674 0.603 [2 per cell]



No. 3
Structure and computed powder X-ray diffraction pattern of Cd4InAg15 (a GGA-PBE-relaxed structure; copper Kα).

Largest 8 diffraction maxima, low angle first, 2θ from 10° to 90°:
| 2θ/deg | I (rel.) |
| --- | --- |
| 37.03 | 1000 |
| 42.43 | 168 |
| 43.32 | 317 |
| 62.25 | 204 |
| 62.93 | 99 |
| 74.07 | 120 |
| 75.32 | 230 |
| 78.86 | 102 |

Structure:
a = 4.177 Å, b = 4.177 Å, c = 21.303 Å
α = 90.00°, β = 90.00°, γ = 90.00°
Space group P4/mmm (No. 123)
Symmetry-distinct sites (fractional):
Cd 0.000 0.000 0.100 [2 per cell]
Cd 0.000 0.000 0.300 [2 per cell]
In 0.000 0.000 0.500 [1 per cell]
Ag 0.000 0.500 0.000 [2 per cell]
Ag 0.000 0.500 0.200 [4 per cell]
Ag 0.000 0.500 0.400 [4 per cell]
Ag 0.500 0.500 0.100 [2 per cell]
Ag 0.500 0.500 0.300 [2 per cell]
Ag 0.500 0.500 0.500 [1 per cell]



No. 4
Structure and computed powder X-ray diffraction pattern of Cd5InAg4 (a GGA-PBE-relaxed structure; copper Kα).

Largest 10 diffraction maxima, low angle first, 2θ from 10° to 90°:
| 2θ/deg | I (rel.) |
| --- | --- |
| 35.77 | 507 |
| 35.93 | 1000 |
| 36.62 | 473 |
| 40.36 | 360 |
| 40.88 | 344 |
| 44.33 | 272 |
| 58.43 | 115 |
| 59.15 | 110 |
| 71.34 | 123 |
| 76.11 | 154 |

Structure:
a = 5.167 Å, b = 6.107 Å, c = 6.968 Å
α = 76.03°, β = 73.31°, γ = 77.35°
Space group P-1 (No. 2)
Symmetry-distinct sites (fractional):
Cd 0.000 0.000 0.000 [1 per cell]
Cd 0.205 0.304 0.591 [2 per cell]
Cd 0.401 0.098 0.204 [2 per cell]
In 0.000 0.500 0.000 [1 per cell]
Ag 0.200 0.800 0.597 [2 per cell]
Ag 0.400 0.602 0.198 [2 per cell]



No. 5
Structure and computed powder X-ray diffraction pattern of Cd2InAg5 (a GGA-PBE-relaxed structure; copper Kα).

Largest 10 diffraction maxima, low angle first, 2θ from 10° to 90°:
| 2θ/deg | I (rel.) |
| --- | --- |
| 33.84 | 177 |
| 34.13 | 190 |
| 34.59 | 299 |
| 37.13 | 700 |
| 38.75 | 1000 |
| 39.01 | 957 |
| 39.42 | 769 |
| 51.65 | 181 |
| 68.00 | 175 |
| 73.10 | 175 |

Structure:
a = 6.128 Å, b = 9.686 Å, c = 5.998 Å
α = 90.00°, β = 120.17°, γ = 90.00°
Space group Cm (No. 8)
Symmetry-distinct sites (fractional):
Cd 0.000 0.244 0.000 [4 per cell]
In 0.316 0.000 0.636 [2 per cell]
Ag 0.316 0.500 0.150 [2 per cell]
Ag 0.322 0.500 0.648 [2 per cell]
Ag 0.330 0.000 0.149 [2 per cell]
Ag 0.496 0.250 0.493 [4 per cell]



No. 6
Structure and computed powder X-ray diffraction pattern of Cd3In4Ag (a GGA-PBE-relaxed structure; copper Kα).

Largest 10 diffraction maxima, low angle first, 2θ from 10° to 90°:
| 2θ/deg | I (rel.) |
| --- | --- |
| 23.43 | 1000 |
| 33.37 | 14 |
| 38.72 | 788 |
| 45.75 | 478 |
| 55.92 | 127 |
| 61.45 | 187 |
| 70.09 | 245 |
| 75.04 | 133 |
| 83.06 | 76 |
| 87.80 | 133 |

Structure:
a = 6.577 Å, b = 6.577 Å, c = 6.577 Å
α = 90.00°, β = 90.00°, γ = 90.00°
Space group P-43m (No. 215)
Symmetry-distinct sites (fractional):
Cd 0.000 0.000 0.500 [3 per cell]
In 0.262 0.262 0.738 [4 per cell]
Ag 0.500 0.500 0.500 [1 per cell]



No. 7
Structure and computed powder X-ray diffraction pattern of Cd3In2Ag7 (a GGA-PBE-relaxed structure; copper Kα).

Largest 10 diffraction maxima, low angle first, 2θ from 10° to 90°:
| 2θ/deg | I (rel.) |
| --- | --- |
| 36.93 | 500 |
| 36.93 | 501 |
| 37.04 | 1000 |
| 38.77 | 871 |
| 50.52 | 198 |
| 56.15 | 142 |
| 65.45 | 347 |
| 68.91 | 290 |
| 69.12 | 294 |
| 85.97 | 167 |

Structure:
a = 7.226 Å, b = 6.552 Å, c = 10.519 Å
α = 90.00°, β = 110.08°, γ = 90.00°
Space group C2/m (No. 12)
Symmetry-distinct sites (fractional):
Cd 0.000 0.000 0.000 [2 per cell]
Cd 0.160 0.500 0.325 [4 per cell]
In 0.167 0.000 0.333 [4 per cell]
Ag 0.000 0.249 0.500 [4 per cell]
Ag 0.000 0.500 0.000 [2 per cell]
Ag 0.170 0.249 0.839 [8 per cell]



No. 8
Structure and computed powder X-ray diffraction pattern of Cd2In2Ag5 (a GGA-PBE-relaxed structure; copper Kα).

Largest 10 diffraction maxima, low angle first, 2θ from 10° to 90°:
| 2θ/deg | I (rel.) |
| --- | --- |
| 35.81 | 819 |
| 36.99 | 370 |
| 37.31 | 354 |
| 37.79 | 1000 |
| 38.22 | 534 |
| 54.24 | 235 |
| 67.53 | 119 |
| 68.81 | 159 |
| 75.71 | 154 |
| 77.21 | 116 |

Structure:
a = 8.709 Å, b = 4.709 Å, c = 8.889 Å
α = 90.00°, β = 90.00°, γ = 90.00°
Space group Amm2 (No. 38)
Symmetry-distinct sites (fractional):
Cd 0.183 0.000 0.000 [4 per cell]
In 0.000 0.000 0.346 [2 per cell]
In 0.500 0.000 0.600 [2 per cell]
Ag 0.165 0.000 0.680 [4 per cell]
Ag 0.334 0.000 0.296 [4 per cell]
Ag 0.500 0.000 0.916 [2 per cell]



No. 9
Structure and computed powder X-ray diffraction pattern of CdInAg (a GGA-PBE-relaxed structure; copper Kα).

Largest 10 diffraction maxima, low angle first, 2θ from 10° to 90°:
| 2θ/deg | I (rel.) |
| --- | --- |
| 29.95 | 937 |
| 34.50 | 209 |
| 36.45 | 1000 |
| 36.75 | 912 |
| 36.88 | 928 |
| 37.90 | 272 |
| 39.60 | 632 |
| 40.05 | 210 |
| 40.24 | 619 |
| 42.42 | 465 |

Structure:
a = 4.653 Å, b = 5.390 Å, c = 5.827 Å
α = 108.15°, β = 91.34°, γ = 103.32°
Space group P-1 (No. 2)
Symmetry-distinct sites (fractional):
Cd 0.213 0.392 0.108 [2 per cell]
In 0.393 0.920 0.727 [2 per cell]
Ag 0.178 0.321 0.582 [2 per cell]



No. 10
Structure and computed powder X-ray diffraction pattern of Cd2In3Ag8 (a GGA-PBE-relaxed structure; copper Kα).

Largest 10 diffraction maxima, low angle first, 2θ from 10° to 90°:
| 2θ/deg | I (rel.) |
| --- | --- |
| 32.28 | 337 |
| 36.73 | 1000 |
| 37.90 | 580 |
| 39.24 | 248 |
| 40.22 | 236 |
| 41.67 | 182 |
| 42.01 | 166 |
| 60.50 | 381 |
| 67.55 | 239 |
| 78.14 | 147 |

Structure:
a = 5.5471 Å, b = 5.5471 Å, c = 31.2682 Å
α = 90.00°, β = 90.00°, γ = 120.00°
Space group R-3m (No. 166, hexagonal axes)
Symmetry-distinct sites (fractional):
Cd 0.0000 0.0000 0.1397 [6 per cell]
In 0.0000 0.0000 0.3165 [6 per cell]
In 0.0000 0.0000 0.5000 [3 per cell]
Ag 0.0000 0.0000 0.2275 [6 per cell]
Ag 0.0000 0.5000 0.2709 [18 per cell]



No. 11
Structure and computed powder X-ray diffraction pattern of Cd5InAg (a GGA-PBE-relaxed structure; copper Kα).

Largest 10 diffraction maxima, low angle first, 2θ from 10° to 90°:
| 2θ/deg | I (rel.) |
| --- | --- |
| 24.49 | 129 |
| 35.37 | 96 |
| 35.83 | 274 |
| 36.50 | 1000 |
| 38.58 | 235 |
| 51.46 | 71 |
| 53.67 | 163 |
| 64.82 | 154 |
| 68.45 | 146 |
| 77.55 | 76 |

Structure:
a = 7.103 Å, b = 9.334 Å, c = 10.026 Å
α = 90.00°, β = 90.00°, γ = 90.00°
Space group Imma (No. 74)
Symmetry-distinct sites (fractional):
Cd 0.000 0.250 0.247 [4 per cell]
Cd 0.206 0.250 0.512 [8 per cell]
Cd 0.250 0.005 0.750 [8 per cell]
In 0.000 0.000 0.000 [4 per cell]
Ag 0.000 0.250 0.770 [4 per cell]



No. 12
Structure and computed powder X-ray diffraction pattern of Cd11In17Ag (a GGA-PBE-relaxed structure; copper Kα).

Largest 10 diffraction maxima, low angle first, 2θ from 10° to 90°:
| 2θ/deg | I (rel.) |
| --- | --- |
| 31.52 | 131 |
| 33.49 | 1000 |
| 37.15 | 319 |
| 38.86 | 119 |
| 40.52 | 208 |
| 57.39 | 109 |
| 59.87 | 240 |
| 61.08 | 80 |
| 62.28 | 75 |
| 70.36 | 64 |

Structure:
a = 11.357 Å, b = 16.046 Å, c = 9.829 Å
α = 90.00°, β = 125.23°, γ = 90.00°
Space group Cm (No. 8)
Symmetry-distinct sites (fractional):
Cd 0.000 0.000 0.000 [2 per cell]
Cd 0.027 0.406 0.184 [4 per cell]
Cd 0.092 0.093 0.554 [4 per cell]
Cd 0.123 0.311 0.994 [4 per cell]
Cd 0.215 0.405 0.805 [4 per cell]
Cd 0.311 0.310 0.373 [4 per cell]
In 0.103 0.295 0.492 [4 per cell]
In 0.215 0.000 0.897 [2 per cell]
In 0.259 0.137 0.183 [4 per cell]
In 0.296 0.205 0.873 [4 per cell]
In 0.306 0.500 0.520 [2 per cell]
In 0.317 0.500 0.192 [2 per cell]
In 0.369 0.150 0.587 [4 per cell]
In 0.465 0.344 0.770 [4 per cell]
In 0.479 0.000 0.854 [2 per cell]
In 0.481 0.335 0.185 [4 per cell]
In 0.492 0.000 0.463 [2 per cell]
Ag 0.188 0.000 0.367 [2 per cell]